LiMnP2O7: computed PXRD pattern (Cu Kα (λ = 1.5418 Å)), based on DFT lattice parameters and positions (PBE+U).
No peak broadening, texture or thermal motion is included.

Cell and atoms:
Cell: 6.6320 8.4650 9.1090 Å, 90.00 102.26 90.00°
Element x y z (fractional)
Li (0.2241, 0.0817, 0.2576)
Li (0.2241, 0.4183, 0.2576)
Li (0.7759, 0.5817, 0.7424)
Li (0.7759, 0.9183, 0.7424)
Mn (0.2521, 0.0664, 0.7491)
Mn (0.2521, 0.4336, 0.7491)
Mn (0.7479, 0.5664, 0.2509)
Mn (0.7479, 0.9336, 0.2509)
P (0.0046, 0.2500, 0.9469)
P (0.0647, 0.7500, 0.5286)
P (0.4185, 0.7500, 0.9668)
P (0.4986, 0.7500, 0.4470)
P (0.5014, 0.2500, 0.5530)
P (0.5815, 0.2500, 0.0332)
P (0.9353, 0.2500, 0.4714)
P (0.9954, 0.7500, 0.0531)
O (0.0263, 0.0956, 0.8561)
O (0.0263, 0.4044, 0.8561)
O (0.0594, 0.6005, 0.6178)
O (0.0594, 0.8995, 0.6178)
O (0.1208, 0.2500, 0.6140)
O (0.1217, 0.2500, 0.1074)
O (0.2382, 0.7500, 0.0595)
O (0.2556, 0.7500, 0.4463)
O (0.3764, 0.2500, 0.3947)
O (0.3909, 0.2500, 0.9027)
O (0.4105, 0.6000, 0.8740)
O (0.4105, 0.9000, 0.8740)
O (0.4811, 0.0960, 0.6444)
O (0.4811, 0.4040, 0.6444)
O (0.5189, 0.5960, 0.3556)
O (0.5189, 0.9040, 0.3556)
O (0.5895, 0.1000, 0.1260)
O (0.5895, 0.4000, 0.1260)
O (0.6091, 0.7500, 0.0973)
O (0.6236, 0.7500, 0.6053)
O (0.7444, 0.2500, 0.5537)
O (0.7618, 0.2500, 0.9405)
O (0.8783, 0.7500, 0.8926)
O (0.8792, 0.7500, 0.3860)
O (0.9406, 0.1005, 0.3822)
O (0.9406, 0.3995, 0.3822)
O (0.9737, 0.5956, 0.1439)
O (0.9737, 0.9044, 0.1439)

Main lines, in order of falling intensity (15° ≤ 2θ ≤ 90°):
29.12 deg, I = 100; 15.11 deg, I = 68; 30.48 deg, I = 67; 28.64 deg, I = 60; 18.57 deg, I = 46; 20.99 deg, I = 24; 56.81 deg, I = 24; 41.85 deg, I = 21; 25.96 deg, I = 20; 44.28 deg, I = 17

=====

LiMnP2O7: computed PXRD pattern (Cu Kα (λ = 1.5418 Å)), based on DFT lattice parameters and positions (PBE+U).
No peak broadening, texture or thermal motion is included.

Cell and atoms:
Cell: 7.1860 8.1059 9.5925 Å, 90.00 112.08 90.00°
Element x y z (fractional)
Li (0.1812, 0.0260, 0.2093)
Li (0.1812, 0.4740, 0.7093)
Li (0.8188, 0.5260, 0.2907)
Li (0.8188, 0.9740, 0.7907)
Mn (0.2457, 0.0055, 0.7490)
Mn (0.2457, 0.4945, 0.2490)
Mn (0.7543, 0.5055, 0.7510)
Mn (0.7543, 0.9945, 0.2510)
P (0.1638, 0.7084, 0.9542)
P (0.1638, 0.7916, 0.4542)
P (0.4169, 0.2358, 0.0391)
P (0.4169, 0.2642, 0.5391)
P (0.5831, 0.7358, 0.4609)
P (0.5831, 0.7642, 0.9609)
P (0.8362, 0.2084, 0.5458)
P (0.8362, 0.2916, 0.0458)
O (0.0424, 0.5743, 0.8450)
O (0.0424, 0.9257, 0.3450)
O (0.1030, 0.6144, 0.4036)
O (0.1030, 0.8856, 0.9036)
O (0.1880, 0.6905, 0.1202)
O (0.1880, 0.8095, 0.6202)
O (0.2990, 0.1418, 0.5889)
O (0.2990, 0.3582, 0.0889)
O (0.3053, 0.2038, 0.8692)
O (0.3053, 0.2962, 0.3692)
O (0.3782, 0.6696, 0.9418)
O (0.3782, 0.8304, 0.4418)
O (0.4715, 0.0772, 0.1360)
O (0.4715, 0.4228, 0.6360)
O (0.5285, 0.5772, 0.3640)
O (0.5285, 0.9228, 0.8640)
O (0.6218, 0.1696, 0.5582)
O (0.6218, 0.3304, 0.0582)
O (0.6947, 0.7038, 0.6308)
O (0.6947, 0.7962, 0.1308)
O (0.7010, 0.6418, 0.9111)
O (0.7010, 0.8582, 0.4111)
O (0.8120, 0.1905, 0.3798)
O (0.8120, 0.3095, 0.8798)
O (0.8970, 0.1144, 0.0964)
O (0.8970, 0.3856, 0.5964)
O (0.9576, 0.0743, 0.6550)
O (0.9576, 0.4257, 0.1550)

Main lines, in order of falling intensity (15° ≤ 2θ ≤ 90°):
17.22 deg, I = 100; 29.83 deg, I = 75; 28.98 deg, I = 67; 22.34 deg, I = 26; 30.12 deg, I = 24; 22.82 deg, I = 23; 39.41 deg, I = 17; 26.77 deg, I = 14; 47.12 deg, I = 11; 42.17 deg, I = 11

=====

Repeat the second record exactly.
LiMnP2O7: computed PXRD pattern (Cu Kα (λ = 1.5418 Å)), based on DFT lattice parameters and positions (PBE+U).
No peak broadening, texture or thermal motion is included.

Cell and atoms:
Cell: 7.1860 8.1059 9.5925 Å, 90.00 112.08 90.00°
Element x y z (fractional)
Li (0.1812, 0.0260, 0.2093)
Li (0.1812, 0.4740, 0.7093)
Li (0.8188, 0.5260, 0.2907)
Li (0.8188, 0.9740, 0.7907)
Mn (0.2457, 0.0055, 0.7490)
Mn (0.2457, 0.4945, 0.2490)
Mn (0.7543, 0.5055, 0.7510)
Mn (0.7543, 0.9945, 0.2510)
P (0.1638, 0.7084, 0.9542)
P (0.1638, 0.7916, 0.4542)
P (0.4169, 0.2358, 0.0391)
P (0.4169, 0.2642, 0.5391)
P (0.5831, 0.7358, 0.4609)
P (0.5831, 0.7642, 0.9609)
P (0.8362, 0.2084, 0.5458)
P (0.8362, 0.2916, 0.0458)
O (0.0424, 0.5743, 0.8450)
O (0.0424, 0.9257, 0.3450)
O (0.1030, 0.6144, 0.4036)
O (0.1030, 0.8856, 0.9036)
O (0.1880, 0.6905, 0.1202)
O (0.1880, 0.8095, 0.6202)
O (0.2990, 0.1418, 0.5889)
O (0.2990, 0.3582, 0.0889)
O (0.3053, 0.2038, 0.8692)
O (0.3053, 0.2962, 0.3692)
O (0.3782, 0.6696, 0.9418)
O (0.3782, 0.8304, 0.4418)
O (0.4715, 0.0772, 0.1360)
O (0.4715, 0.4228, 0.6360)
O (0.5285, 0.5772, 0.3640)
O (0.5285, 0.9228, 0.8640)
O (0.6218, 0.1696, 0.5582)
O (0.6218, 0.3304, 0.0582)
O (0.6947, 0.7038, 0.6308)
O (0.6947, 0.7962, 0.1308)
O (0.7010, 0.6418, 0.9111)
O (0.7010, 0.8582, 0.4111)
O (0.8120, 0.1905, 0.3798)
O (0.8120, 0.3095, 0.8798)
O (0.8970, 0.1144, 0.0964)
O (0.8970, 0.3856, 0.5964)
O (0.9576, 0.0743, 0.6550)
O (0.9576, 0.4257, 0.1550)

Main lines, in order of falling intensity (15° ≤ 2θ ≤ 90°):
17.22 deg, I = 100; 29.83 deg, I = 75; 28.98 deg, I = 67; 22.34 deg, I = 26; 30.12 deg, I = 24; 22.82 deg, I = 23; 39.41 deg, I = 17; 26.77 deg, I = 14; 47.12 deg, I = 11; 42.17 deg, I = 11